Record 1
The following is a theoretical XRD peak list of Na3GaS3. It was derived from a cell relaxed with PBE, using CuKα.

Top 10 peaks for 10 to 80 degrees two-theta, sorted by position:
two_theta, d [Å], Rel. int.
13.0, 6.836, 27
13.7, 6.464, 30
14.5, 6.102, 43
17.7, 5.016, 100
19.5, 4.552, 20
28.9, 3.091, 27
32.1, 2.788, 38
36.6, 2.452, 36
37.6, 2.394, 40
41.9, 2.155, 30

Structure:
```
Na3GaS3
1.0
13.819 0.000 0.000
0.000 12.203 0.000
-1.122 0.000 7.621
Na Ga S
24 8 24
Direct
0.014 0.249 0.003
0.014 0.251 0.503
0.194 0.519 0.581
0.194 0.981 0.081
0.241 0.692 0.036
0.241 0.808 0.536
0.243 0.172 0.494
0.243 0.328 0.994
0.367 0.088 0.890
0.367 0.412 0.390
0.474 0.736 0.916
0.474 0.764 0.416
0.526 0.236 0.584
0.526 0.264 0.084
0.633 0.588 0.610
0.633 0.912 0.110
0.757 0.672 0.006
0.757 0.828 0.505
0.759 0.192 0.464
0.759 0.308 0.964
0.806 0.019 0.919
0.806 0.481 0.419
0.986 0.749 0.497
0.986 0.751 0.997
0.074 0.508 0.179
0.074 0.992 0.679
0.433 0.022 0.317
0.433 0.478 0.817
0.567 0.522 0.183
0.567 0.978 0.683
0.926 0.008 0.321
0.926 0.492 0.821
0.098 0.502 0.880
0.098 0.998 0.380
0.123 0.670 0.298
0.123 0.830 0.798
0.148 0.141 0.812
0.148 0.359 0.312
0.369 0.186 0.236
0.369 0.314 0.736
0.386 0.610 0.617
0.386 0.890 0.117
0.395 0.533 0.091
0.395 0.967 0.591
0.605 0.033 0.409
0.605 0.467 0.909
0.614 0.110 0.883
0.614 0.390 0.383
0.631 0.686 0.264
0.631 0.814 0.764
0.852 0.641 0.688
0.852 0.859 0.188
0.877 0.170 0.202
0.877 0.330 0.702
0.902 0.002 0.620
0.902 0.498 0.120
```

Record 2
The following is a theoretical XRD peak list of Li2AgF5. It was derived from a cell relaxed with PBE, using CuKα.

Top 10 peaks for 10 to 80 degrees two-theta, sorted by position:
two_theta, d [Å], Rel. int.
15.3, 5.788, 31
17.7, 5.004, 41
18.2, 4.863, 100
23.4, 3.805, 21
23.5, 3.786, 19
23.9, 3.730, 46
29.5, 3.030, 43
36.9, 2.435, 21
43.5, 2.082, 23
49.0, 1.861, 14

Structure:
```
Li2AgF5
1.0
6.123 0.000 0.000
0.000 10.009 0.000
-2.626 0.000 7.613
Li Ag F
8 4 20
Direct
0.103 0.230 0.037
0.103 0.270 0.537
0.384 0.679 0.981
0.384 0.821 0.481
0.616 0.179 0.519
0.616 0.321 0.019
0.897 0.730 0.463
0.897 0.770 0.963
0.338 0.011 0.773
0.338 0.489 0.273
0.662 0.511 0.727
0.662 0.989 0.227
0.118 0.121 0.847
0.118 0.379 0.347
0.126 0.650 0.038
0.126 0.850 0.538
0.320 0.628 0.445
0.320 0.872 0.945
0.376 0.161 0.622
0.376 0.339 0.122
0.422 0.087 0.293
0.422 0.413 0.793
0.578 0.587 0.207
0.578 0.913 0.707
0.624 0.661 0.878
0.624 0.839 0.378
0.680 0.128 0.055
0.680 0.372 0.555
0.874 0.150 0.462
0.874 0.350 0.962
0.882 0.621 0.653
0.882 0.879 0.153
```

Record 3
The following is a theoretical XRD peak list of Fe2CuN2. It was derived from a cell relaxed with PBE, using CuKα.

Top 10 peaks for 10 to 80 degrees two-theta, sorted by position:
two_theta, d [Å], Rel. int.
37.1, 2.421, 50
37.3, 2.411, 100
39.2, 2.298, 50
43.9, 2.064, 73
62.3, 1.490, 25
62.5, 1.485, 13
65.2, 1.431, 21
75.0, 1.266, 11
76.0, 1.252, 12
76.3, 1.248, 23

Structure:
```
Fe2CuN2
1.0
2.583 -1.485 0.000
2.583 1.485 0.000
-0.022 0.000 6.894
Fe Cu N
2 1 2
Direct
0.166 0.166 0.340
0.834 0.834 0.660
0.500 0.500 0.000
0.499 0.499 0.273
0.501 0.501 0.727
```

Record 4
The following is a theoretical XRD peak list of BaCa2I6. It was derived from a cell relaxed with PBE, using CuKα.

Top 10 peaks for 10 to 80 degrees two-theta, sorted by position:
two_theta, d [Å], Rel. int.
12.6, 7.030, 22
21.3, 4.170, 32
22.9, 3.883, 100
25.5, 3.499, 22
25.6, 3.476, 34
26.3, 3.387, 25
26.6, 3.349, 36
32.9, 2.720, 19
33.5, 2.676, 28
34.9, 2.568, 32

Structure:
```
BaCa2I6
1.0
7.485 0.000 0.000
0.000 8.071 0.000
-6.358 0.000 14.306
Ba Ca I
2 4 12
Direct
0.000 0.000 0.000
0.000 0.500 0.500
0.338 0.104 0.753
0.338 0.396 0.253
0.662 0.604 0.747
0.662 0.896 0.247
0.038 0.100 0.224
0.038 0.400 0.724
0.317 0.672 0.105
0.317 0.828 0.605
0.448 0.188 0.105
0.448 0.312 0.605
0.552 0.688 0.395
0.552 0.812 0.895
0.683 0.172 0.395
0.683 0.328 0.895
0.962 0.600 0.276
0.962 0.900 0.776
```

Record 5
The following is a theoretical XRD peak list of Ba2GdNbO6. It was derived from a cell relaxed with PBE, using CuKα.

Top 10 peaks for 10 to 80 degrees two-theta, sorted by position:
two_theta, d [Å], Rel. int.
17.9, 4.968, 2
29.4, 3.042, 100
34.6, 2.595, 2
36.2, 2.484, 2
42.0, 2.151, 30
46.0, 1.974, 1
52.1, 1.756, 41
60.9, 1.521, 19
69.0, 1.361, 18
76.7, 1.242, 6

Structure:
```
Ba2GdNbO6
1.0
0.000 4.303 4.303
4.303 0.000 4.303
4.303 4.303 0.000
Ba Gd Nb O
2 1 1 6
Direct
0.250 0.250 0.250
0.750 0.750 0.750
0.000 0.000 0.000
0.500 0.500 0.500
0.265 0.265 0.735
0.265 0.735 0.265
0.265 0.735 0.735
0.735 0.265 0.265
0.735 0.265 0.735
0.735 0.735 0.265
```

Record 6
The following is a theoretical XRD peak list of SrScO3. It was derived from a cell relaxed with PBE, using CuKα.

Top 10 peaks for 10 to 80 degrees two-theta, sorted by position:
two_theta, d [Å], Rel. int.
21.5, 4.140, 5
30.5, 2.927, 100
37.6, 2.390, 24
43.7, 2.070, 43
49.2, 1.851, 4
54.3, 1.690, 39
63.6, 1.464, 25
67.9, 1.380, 2
72.2, 1.309, 17
76.3, 1.248, 7

Structure:
```
SrScO3
1.0
4.140 0.000 0.000
0.000 4.140 0.000
0.000 0.000 4.140
Sr Sc O
1 1 3
Direct
0.000 0.000 0.000
0.500 0.500 0.500
0.000 0.500 0.500
0.500 0.000 0.500
0.500 0.500 0.000
```

Record 7
The following is a theoretical XRD peak list of BaCa2I6. It was derived from a cell relaxed with PBE, using CuKα.

Top 10 peaks for 10 to 80 degrees two-theta, sorted by position:
two_theta, d [Å], Rel. int.
19.1, 4.653, 23
22.0, 4.045, 31
22.2, 4.000, 23
25.7, 3.464, 22
28.8, 3.098, 18
31.3, 2.860, 41
31.5, 2.844, 100
45.3, 2.000, 16
55.8, 1.648, 14
56.1, 1.639, 16

Structure:
```
BaCa2I6
1.0
8.090 0.000 0.000
0.000 8.090 0.000
0.000 0.000 24.003
Ba Ca I
4 8 24
Direct
0.000 0.000 0.000
0.000 0.500 0.500
0.500 0.000 0.500
0.500 0.500 0.000
0.000 0.000 0.326
0.000 0.000 0.674
0.000 0.500 0.169
0.000 0.500 0.831
0.500 0.000 0.169
0.500 0.000 0.831
0.500 0.500 0.326
0.500 0.500 0.674
0.195 0.204 0.586
0.204 0.805 0.414
0.205 0.712 0.747
0.210 0.285 0.088
0.212 0.705 0.253
0.215 0.290 0.912
0.285 0.790 0.912
0.288 0.205 0.253
0.290 0.785 0.088
0.295 0.212 0.747
0.296 0.305 0.414
0.305 0.704 0.586
0.695 0.296 0.586
0.704 0.695 0.414
0.705 0.788 0.747
0.710 0.215 0.088
0.712 0.795 0.253
0.715 0.210 0.912
0.785 0.710 0.912
0.788 0.295 0.253
0.790 0.715 0.088
0.795 0.288 0.747
0.796 0.195 0.414
0.805 0.796 0.586
```